The following is a theoretical XRD peak list of TaVO4. It was derived from a cell relaxed with PBE+U, using Cu Kα (weighted mean of Kα1 and Kα2).
Peak positions follow from Bragg's law for the DFT cell and can differ from measured ones.

Cell and atoms:
```
TaVO4
1.0
6.6128 0.0000 0.0000
0.0000 6.7295 0.0000
0.0000 0.0000 3.1097
Ta V O
2 2 8
Cartesian
0.0000 0.0000 0.0000
3.3064 3.3648 0.0000
0.0000 3.3648 1.5549
3.3064 0.0000 1.5549
0.0000 1.2968 1.5549
0.0000 5.4327 1.5549
1.3359 3.3648 0.0000
1.9705 0.0000 0.0000
3.3064 2.0679 1.5549
3.3064 4.6616 1.5549
4.6423 0.0000 0.0000
5.2769 3.3648 0.0000
```

The 10 most intense peaks (15° ≤ 2θ ≤ 90°), by angle:
d 4.717, I 852
d 3.365, I 661
d 3.306, I 618
d 2.596, I 1000
d 2.358, I 279
d 2.284, I 279
d 2.095, I 172
d 1.754, I 431
d 1.737, I 403
d 1.403, I 248

***

The following is a theoretical XRD peak list of LiFeP2HO8. It was derived from a cell relaxed with PBE+U, using Cu Kα (weighted mean of Kα1 and Kα2).
Peak positions follow from Bragg's law for the DFT cell and can differ from measured ones.

Cell and atoms:
```
LiFeP2HO8
1.0
4.9477 0.0000 0.0000
0.0000 8.0681 0.0000
-1.9137 0.0000 7.2972
Li Fe P H O
2 2 4 2 16
Cartesian
0.5566 0.0000 0.7147
2.4775 4.0340 6.5825
0.7622 5.0498 1.8639
2.2718 1.0157 5.4333
-0.3400 7.8870 3.5606
1.8510 2.3022 0.0561
1.1830 6.3363 7.2411
3.3740 3.8530 3.7366
0.0052 5.2289 5.6138
3.0288 1.1949 1.6834
-1.3026 4.5784 5.0765
-0.3082 3.7107 2.8700
-1.1009 1.4323 6.6169
0.2089 6.5019 3.1650
1.2265 3.6611 0.4304
0.7053 0.6491 4.3205
1.7932 6.5002 0.7451
2.0995 1.4903 1.3896
0.9345 5.5243 5.9076
1.2408 2.4661 6.5521
2.3287 4.6832 2.9767
1.8076 7.6951 6.8668
2.8251 2.4678 4.1322
4.1349 5.4663 0.6803
3.3422 7.7448 4.4272
4.3366 0.5444 2.2207
```

The 10 most intense peaks (15° ≤ 2θ ≤ 90°), by angle:
d 5.412, I 739
d 4.034, I 160
d 3.975, I 416
d 3.605, I 816
d 3.530, I 483
d 3.085, I 1000
d 3.024, I 267
d 2.706, I 468
d 2.094, I 174
d 1.774, I 207

***

The following is a theoretical XRD peak list of Li3Co2O5. It was derived from a cell relaxed with PBE+U, using Cu Kα (weighted mean of Kα1 and Kα2).
Peak positions follow from Bragg's law for the DFT cell and can differ from measured ones.

Cell and atoms:
```
Li3Co2O5
1.0
10.2807 -1.4609 0.0000
10.2807 1.4609 0.0000
-0.7721 0.0000 5.8974
Li Co O
6 4 10
Cartesian
0.0000 0.0000 0.0000
-0.3861 0.0000 2.9487
3.9818 0.0000 0.5764
7.7219 0.0000 4.1757
12.0674 0.0000 1.7217
15.8076 0.0000 5.3209
3.6118 0.0000 3.5053
8.1907 0.0000 1.1602
11.5986 0.0000 4.7372
16.1775 0.0000 2.3920
2.0274 0.0000 0.1730
1.6249 0.0000 3.3341
5.6329 0.0000 3.7808
6.2232 0.0000 0.9934
9.8974 0.0000 1.4496
9.8919 0.0000 4.4478
13.5661 0.0000 4.9040
14.1564 0.0000 2.1165
18.1644 0.0000 2.5633
17.7619 0.0000 5.7243
```

The 10 most intense peaks (15° ≤ 2θ ≤ 90°), by angle:
d 4.840, I 1000
d 2.492, I 285
d 2.458, I 109
d 2.084, I 605
d 2.039, I 265
d 1.612, I 113
d 1.465, I 148
d 1.461, I 86
d 1.450, I 143
d 1.398, I 86

***

The following is a theoretical XRD peak list of LiCo4O8. It was derived from a cell relaxed with PBE+U, using Cu Kα (weighted mean of Kα1 and Kα2).
Peak positions follow from Bragg's law for the DFT cell and can differ from measured ones.

Cell and atoms:
```
LiCo4O8
1.0
5.6516 0.0000 0.0000
-0.0110 5.9759 0.0000
-0.0159 -0.5571 8.2645
Li Co O
2 8 16
Cartesian
0.0000 0.0000 0.0000
2.8124 2.7094 4.1323
-0.0079 -0.2785 4.1323
-0.0055 2.9880 0.0000
1.3949 1.0673 6.1744
1.3922 4.3533 2.0903
2.8179 -0.2785 4.1323
2.8203 2.9880 0.0000
4.2326 1.0656 6.1743
4.2299 4.3516 2.0902
-0.0101 -0.1768 6.0539
-0.0147 2.3148 6.3507
5.6395 3.1041 1.9138
5.6349 5.5957 2.2106
1.3274 4.3054 0.1953
1.3272 1.1208 8.0749
1.4271 0.9874 4.2918
1.4203 4.4320 3.9742
2.8121 3.1170 2.0211
2.8140 -0.1805 6.0188
2.8108 5.5993 2.2457
2.8127 2.3019 6.2435
4.2045 0.9869 4.2903
4.1977 4.4314 3.9728
4.2976 4.2980 0.1897
4.2974 1.1135 8.0693
```

The 10 most intense peaks (15° ≤ 2θ ≤ 90°), by angle:
d 4.997, I 1000
d 2.439, I 93
d 2.420, I 183
d 2.333, I 51
d 2.066, I 142
d 2.051, I 278
d 1.902, I 52
d 1.612, I 96
d 1.490, I 106
d 1.192, I 52

***

The following is a theoretical XRD peak list of LaZnCrMoO6. It was derived from a cell relaxed with PBE+U, using Cu Kα (weighted mean of Kα1 and Kα2).
Peak positions follow from Bragg's law for the DFT cell and can differ from measured ones.

Cell and atoms:
```
LaZnCrMoO6
1.0
5.4286 0.0000 0.0000
0.0000 5.5728 0.0000
-5.4004 0.0000 7.9873
La Zn Cr Mo O
2 2 2 2 12
Cartesian
0.0000 1.1710 0.0000
-2.7002 4.4018 3.9936
-0.0396 1.3941 4.0176
2.6606 4.1787 0.0239
-2.7322 1.4194 6.0005
-0.0319 4.1534 2.0069
2.6744 1.4654 1.9914
-0.0258 4.1074 5.9850
-4.3169 2.5291 6.4152
-1.6167 3.0437 2.4215
-1.0450 0.3231 2.5139
-3.7452 5.2497 6.5075
1.1048 2.6034 1.5149
-1.5954 2.9694 5.5085
-1.0273 0.3099 5.5336
1.6730 5.2629 1.5400
-2.2298 1.6820 7.9393
0.4704 3.8908 3.9457
1.9769 1.2171 4.0328
4.6771 4.3557 0.0391
```

The 10 most intense peaks (15° ≤ 2θ ≤ 90°), by angle:
d 2.786, I 1000
d 2.714, I 173
d 1.997, I 111
d 1.944, I 193
d 1.623, I 93
d 1.610, I 115
d 1.607, I 113
d 1.582, I 93
d 1.579, I 93
d 1.394, I 73